KMgSb2: calculated powder diffractogram (Cu Kα (λ = 1.5418 Å)), based on a GGA-PBE-relaxed structure.
Intensities are scaled so that the largest is 100.

Peak list (12 most intense, 2θ from 15° to 90°, sorted by position)
2θ = 19.33°, rel. 41, (2 0 0); 2θ = 25.49°, rel. 26, (2 0 1); 2θ = 26.46°, rel. 30, (1 1 -1); 2θ = 28.51°, rel. 100, (1 1 1); 2θ = 33.91°, rel. 35, (1 1 -2); 2θ = 36.97°, rel. 52, (3 1 -1); 2θ = 37.14°, rel. 25, (1 1 2); 2θ = 38.79°, rel. 16, (0 0 3); 2θ = 39.23°, rel. 20, (4 0 0); 2θ = 41.41°, rel. 14, (3 1 -2); 2θ = 45.37°, rel. 15, (0 2 0); 2θ = 49.32°, rel. 23, (3 1 2)

Structural model:
Cell: 9.4177 3.9981 7.1409 Å, 90.00 102.76 90.00°
Element x y z (fractional)
K 0.0000 0.0000 0.0000
K 0.5000 0.5000 0.0000
Mg 0.0000 0.5000 0.5000
Mg 0.5000 0.0000 0.5000
Sb 0.2342 0.0000 0.6607
Sb 0.2658 0.5000 0.3393
Sb 0.7342 0.5000 0.6607
Sb 0.7658 0.0000 0.3393